# 1
LaNi3Ge3: calculated powder XRD pattern (λ = 1.5418 Å (Cu Kα)), based on the GGA-PBE geometry in Alexandria.
Kinematic intensities with the Lorentz-polarization factor, no thermal factor.

Largest 8 diffraction maxima, by angle, 2θ = 10–80°:
| 2theta | I_rel |
| --- | --- |
| 27.65 | 43 |
| 30.99 | 1 |
| 34.04 | 100 |
| 48.90 | 12 |
| 53.12 | 55 |
| 57.11 | 22 |
| 64.61 | 15 |
| 68.18 | 13 |

Atomic structure:
Unit cell a=6.4516 b=6.4516 c=6.4516 alpha=90.00 beta=90.00 gamma=90.00
Atoms (fractional coordinates):
La: 0.0000 0.0000 0.0000
La: 0.5000 0.5000 0.5000
Ni: 0.0000 0.2500 0.5000
Ni: 0.0000 0.7500 0.5000
Ni: 0.2500 0.5000 0.0000
Ni: 0.5000 0.0000 0.2500
Ni: 0.5000 0.0000 0.7500
Ni: 0.7500 0.5000 0.0000
Ge: 0.0000 0.5000 0.2500
Ge: 0.0000 0.5000 0.7500
Ge: 0.2500 0.0000 0.5000
Ge: 0.5000 0.2500 0.0000
Ge: 0.5000 0.7500 0.0000
Ge: 0.7500 0.0000 0.5000


# 2
RbBaScSi3O9: calculated powder XRD pattern (λ = 1.5418 Å (Cu Kα)), based on the GGA-PBE geometry in Alexandria.
Kinematic intensities with the Lorentz-polarization factor, no thermal factor.

Largest 12 diffraction maxima, by angle, 2θ = 10–80°:
| 2theta | I_rel |
| --- | --- |
| 11.28 | 11 |
| 17.15 | 10 |
| 25.27 | 23 |
| 25.56 | 47 |
| 29.79 | 72 |
| 29.88 | 34 |
| 30.68 | 74 |
| 30.95 | 100 |
| 44.71 | 18 |
| 46.37 | 11 |
| 48.22 | 23 |
| 53.59 | 19 |

Atomic structure:
Unit cell a=7.0487 b=10.3410 c=13.9260 alpha=90.00 beta=120.28 gamma=90.00
Atoms (fractional coordinates):
Rb: 0.1683 0.0542 0.4224
Rb: 0.1683 0.4458 0.9224
Rb: 0.8317 0.5542 0.0776
Rb: 0.8317 0.9458 0.5776
Ba: 0.1706 0.0572 0.9122
Ba: 0.1706 0.4428 0.4122
Ba: 0.8294 0.5572 0.5878
Ba: 0.8294 0.9428 0.0878
Sc: 0.4795 0.5036 0.7353
Sc: 0.4795 0.9964 0.2353
Sc: 0.5205 0.0036 0.7647
Sc: 0.5205 0.4964 0.2647
Si: 0.1155 0.2484 0.6236
Si: 0.1155 0.2516 0.1236
Si: 0.2506 0.7462 0.8164
Si: 0.2506 0.7538 0.3164
Si: 0.3682 0.7359 0.0577
Si: 0.3682 0.7641 0.5577
Si: 0.6318 0.2359 0.4423
Si: 0.6318 0.2641 0.9423
Si: 0.7494 0.2462 0.6836
Si: 0.7494 0.2538 0.1836
Si: 0.8845 0.7484 0.8764
Si: 0.8845 0.7516 0.3764
O: 0.0092 0.2472 0.2072
O: 0.0092 0.2528 0.7072
O: 0.0981 0.7162 0.0042
O: 0.0981 0.7838 0.5042
O: 0.1958 0.1076 0.1120
O: 0.1958 0.3924 0.6120
O: 0.2422 0.6287 0.7379
O: 0.2422 0.8713 0.2379
O: 0.2780 0.1272 0.6544
O: 0.2780 0.3728 0.1544
O: 0.3024 0.6073 0.2956
O: 0.3024 0.8927 0.7956
O: 0.4088 0.7059 0.9500
O: 0.4088 0.7941 0.4500
O: 0.4405 0.6135 0.5904
O: 0.4405 0.8865 0.0904
O: 0.4998 0.1242 0.3534
O: 0.4998 0.3758 0.8534
O: 0.5002 0.6242 0.1466
O: 0.5002 0.8758 0.6466
O: 0.5595 0.1135 0.9096
O: 0.5595 0.3865 0.4096
O: 0.5912 0.2059 0.5500
O: 0.5912 0.2941 0.0500
O: 0.6976 0.1073 0.2044
O: 0.6976 0.3927 0.7044
O: 0.7220 0.6272 0.8456
O: 0.7220 0.8728 0.3456
O: 0.7578 0.1287 0.7621
O: 0.7578 0.3713 0.2621
O: 0.8042 0.6076 0.3880
O: 0.8042 0.8924 0.8880
O: 0.9019 0.2162 0.4958
O: 0.9019 0.2838 0.9958
O: 0.9908 0.7472 0.2928
O: 0.9908 0.7528 0.7928


# 3
KNaTl2As: calculated powder XRD pattern (λ = 1.5418 Å (Cu Kα)), based on the GGA-PBE geometry in Alexandria.
Kinematic intensities with the Lorentz-polarization factor, no thermal factor.

Largest 12 diffraction maxima, by angle, 2θ = 10–80°:
| 2theta | I_rel |
| --- | --- |
| 13.29 | 25 |
| 18.49 | 49 |
| 20.38 | 86 |
| 26.51 | 54 |
| 29.26 | 100 |
| 34.88 | 36 |
| 37.62 | 70 |
| 38.02 | 25 |
| 39.06 | 50 |
| 40.74 | 30 |
| 47.84 | 23 |
| 53.36 | 41 |

Atomic structure:
Unit cell a=4.6104 b=5.1440 c=13.3271 alpha=90.00 beta=90.00 gamma=90.00
Atoms (fractional coordinates):
K: 0.0000 0.0000 0.0000
K: 0.5000 0.5000 0.5000
Na: 0.0000 0.5000 0.7186
Na: 0.5000 0.0000 0.2186
Tl: 0.0000 0.0000 0.3897
Tl: 0.0000 0.5000 0.2398
Tl: 0.5000 0.0000 0.7398
Tl: 0.5000 0.5000 0.8897
As: 0.0000 0.0000 0.5993
As: 0.5000 0.5000 0.0993


# 4
Sr2TlBiS4: calculated powder XRD pattern (λ = 1.5418 Å (Cu Kα)), based on the GGA-PBE geometry in Alexandria.
Kinematic intensities with the Lorentz-polarization factor, no thermal factor.

Largest 12 diffraction maxima, by angle, 2θ = 10–80°:
| 2theta | I_rel |
| --- | --- |
| 12.67 | 31 |
| 25.49 | 100 |
| 29.43 | 91 |
| 29.68 | 44 |
| 41.99 | 17 |
| 42.27 | 83 |
| 49.79 | 18 |
| 49.93 | 18 |
| 50.19 | 18 |
| 52.26 | 18 |
| 52.45 | 18 |
| 69.36 | 23 |

Atomic structure:
Unit cell a=8.5495 b=8.5495 c=8.5495 alpha=119.89 beta=119.55 gamma=90.48
Atoms (fractional coordinates):
Sr: 0.0000 0.0000 0.0000
Sr: 0.5000 0.0000 0.0000
Sr: 0.5000 0.0000 0.5000
Sr: 0.5000 0.5000 0.5000
Tl: 0.0000 0.0000 0.5000
Tl: 0.0000 0.5000 0.0000
Bi: 0.0000 0.5000 0.5000
Bi: 0.5000 0.5000 0.0000
S: 0.2559 0.7400 0.5160
S: 0.2568 0.2686 0.5118
S: 0.2568 0.7450 0.9882
S: 0.2760 0.2600 0.0160
S: 0.7240 0.7400 0.9840
S: 0.7432 0.2550 0.0118
S: 0.7432 0.7314 0.4882
S: 0.7441 0.2600 0.4840


# 5
Th6Ir2Pt3Rh: calculated powder XRD pattern (λ = 1.5418 Å (Cu Kα)), based on the GGA-PBE geometry in Alexandria.
Kinematic intensities with the Lorentz-polarization factor, no thermal factor.

Largest 12 diffraction maxima, by angle, 2θ = 10–80°:
| 2theta | I_rel |
| --- | --- |
| 26.19 | 2 |
| 30.36 | 100 |
| 43.43 | 51 |
| 43.53 | 25 |
| 53.90 | 20 |
| 54.06 | 7 |
| 63.16 | 13 |
| 71.60 | 18 |
| 71.74 | 18 |
| 79.64 | 6 |
| 79.77 | 13 |
| 79.96 | 7 |

Atomic structure:
Unit cell a=9.3192 b=9.3192 c=8.3257 alpha=103.14 beta=103.14 gamma=25.83
Atoms (fractional coordinates):
Th: 0.0023 0.0023 0.2454
Th: 0.3312 0.3312 0.4228
Th: 0.3353 0.3353 0.9112
Th: 0.6647 0.6647 0.0888
Th: 0.6688 0.6688 0.5772
Th: 0.9977 0.9977 0.7546
Ir: 0.1662 0.1662 0.3319
Ir: 0.8338 0.8338 0.6681
Pt: 0.1662 0.1662 0.8335
Pt: 0.5000 0.5000 0.5000
Pt: 0.8338 0.8338 0.1665
Rh: 0.5000 0.5000 0.0000


# 6
SrHg2Sb: calculated powder XRD pattern (λ = 1.5418 Å (Cu Kα)), based on the GGA-PBE geometry in Alexandria.
Kinematic intensities with the Lorentz-polarization factor, no thermal factor.

Largest 12 diffraction maxima, by angle, 2θ = 10–80°:
| 2theta | I_rel |
| --- | --- |
| 20.48 | 14 |
| 31.77 | 100 |
| 32.55 | 5 |
| 35.68 | 18 |
| 37.43 | 32 |
| 52.65 | 18 |
| 52.75 | 6 |
| 53.97 | 11 |
| 61.66 | 15 |
| 63.97 | 20 |
| 64.08 | 7 |
| 66.39 | 12 |

Atomic structure:
Unit cell a=11.1436 b=4.8098 c=4.8017 alpha=90.00 beta=115.42 gamma=90.00
Atoms (fractional coordinates):
Sr: 0.0000 0.0000 0.0000
Sr: 0.5000 0.5000 0.0000
Hg: 0.9998 0.5000 0.4994
Hg: 0.2496 0.5000 0.2501
Hg: 0.4998 0.0000 0.4994
Hg: 0.7496 0.0000 0.2501
Sb: 0.2502 0.0000 0.7499
Sb: 0.7502 0.5000 0.7499